1.
Starting from a DFT-relaxed cell (GGA-PBE, Alexandria), the X-ray diffraction stick pattern of CsPa4Se8 was computed for Cu Kα (weighted mean of Kα1 and Kα2).
Kinematic intensities with the Lorentz-polarization factor, no thermal factor.

Structural model:
abc: 8.7797 8.7797 8.7797
angles: 60.00 60.00 60.00
Fractional positions:
Cs: 0.0000 0.0000 0.0000
Pa: 0.1327 0.6224 0.6224
Pa: 0.6224 0.1327 0.6224
Pa: 0.6224 0.6224 0.1327
Pa: 0.6224 0.6224 0.6224
Se: 0.3901 0.3901 0.3901
Se: 0.3901 0.3901 0.8297
Se: 0.3901 0.8297 0.3901
Se: 0.4441 0.8520 0.8520
Se: 0.8297 0.3901 0.3901
Se: 0.8520 0.4441 0.8520
Se: 0.8520 0.8520 0.4441
Se: 0.8520 0.8520 0.8520

Top 6 peaks for 2θ = 10–90°, in order of rising 2θ:
2theta	d/Å	I (rel.)
12.3	7.169	100
23.8	3.744	78
28.8	3.104	83
37.6	2.390	60
41.1	2.195	84
43.1	2.099	26

2.
Starting from a DFT-relaxed cell (GGA-PBE, Alexandria), the X-ray diffraction stick pattern of NaPm2WN4 was computed for Cu Kα (weighted mean of Kα1 and Kα2).
Kinematic intensities with the Lorentz-polarization factor, no thermal factor.

Structural model:
abc: 5.4953 5.4953 9.4962
angles: 90.00 90.00 90.00
Fractional positions:
Na: 0.0000 0.0000 0.0000
Na: 0.5000 0.5000 0.5000
Pm: 0.0000 0.5000 0.2500
Pm: 0.0000 0.5000 0.7500
Pm: 0.5000 0.0000 0.2500
Pm: 0.5000 0.0000 0.7500
W: 0.0000 0.0000 0.5000
W: 0.5000 0.5000 0.0000
N: 0.2035 0.2035 0.3872
N: 0.2035 0.7965 0.6128
N: 0.2965 0.2965 0.8872
N: 0.2965 0.7035 0.1128
N: 0.7035 0.2965 0.1128
N: 0.7035 0.7035 0.8872
N: 0.7965 0.2035 0.6128
N: 0.7965 0.7965 0.3872

Top 6 peaks for 2θ = 10–90°, in order of rising 2θ:
2theta	d/Å	I (rel.)
18.7	4.756	37
29.7	3.007	100
32.6	2.747	39
46.8	1.942	22
50.8	1.797	28
56.4	1.632	32

3.
Starting from a DFT-relaxed cell (GGA-PBE, Alexandria), the X-ray diffraction stick pattern of Ba3CeGa2O8 was computed for Cu Kα (weighted mean of Kα1 and Kα2).
Kinematic intensities with the Lorentz-polarization factor, no thermal factor.

Structural model:
abc: 6.0342 6.0342 7.6519
angles: 90.00 90.00 120.00
Fractional positions:
Ba: 0.0000 0.0000 0.0000
Ba: 0.3333 0.6667 0.6640
Ba: 0.6667 0.3333 0.3360
Ce: 0.0000 0.0000 0.5000
Ga: 0.3333 0.6667 0.2124
Ga: 0.6667 0.3333 0.7876
O: 0.1701 0.3402 0.3219
O: 0.1701 0.8299 0.3219
O: 0.3333 0.6667 0.9792
O: 0.3402 0.1701 0.6781
O: 0.6598 0.8299 0.3219
O: 0.6667 0.3333 0.0208
O: 0.8299 0.1701 0.6781
O: 0.8299 0.6598 0.6781

Top 6 peaks for 2θ = 10–90°, in order of rising 2θ:
2theta	d/Å	I (rel.)
28.9	3.087	87
29.6	3.017	100
41.9	2.158	45
52.1	1.755	34
52.5	1.742	20
61.5	1.509	16

4.
Starting from a DFT-relaxed cell (GGA-PBE, Alexandria), the X-ray diffraction stick pattern of Rb3Er2TmTe6 was computed for Cu Kα (weighted mean of Kα1 and Kα2).
Kinematic intensities with the Lorentz-polarization factor, no thermal factor.

Structural model:
abc: 7.7811 7.7811 8.9293
angles: 98.35 98.35 120.00
Fractional positions:
Rb: 0.0000 0.0000 0.0000
Rb: 0.3330 0.6670 0.0000
Rb: 0.6670 0.3330 0.0000
Er: 0.1666 0.8334 0.5000
Er: 0.8334 0.1666 0.5000
Tm: 0.5000 0.5000 0.5000
Te: 0.1018 0.4342 0.3026
Te: 0.2335 0.2335 0.6975
Te: 0.4342 0.1018 0.3026
Te: 0.5658 0.8982 0.6974
Te: 0.7665 0.7665 0.3025
Te: 0.8982 0.5658 0.6974

Top 6 peaks for 2θ = 10–90°, in order of rising 2θ:
2theta	d/Å	I (rel.)
10.4	8.544	32
26.8	3.326	100
36.3	2.473	33
40.1	2.246	37
48.9	1.861	19
65.1	1.433	16

Copy entry 4 word for word.
Starting from a DFT-relaxed cell (GGA-PBE, Alexandria), the X-ray diffraction stick pattern of Rb3Er2TmTe6 was computed for Cu Kα (weighted mean of Kα1 and Kα2).
Kinematic intensities with the Lorentz-polarization factor, no thermal factor.

Structural model:
abc: 7.7811 7.7811 8.9293
angles: 98.35 98.35 120.00
Fractional positions:
Rb: 0.0000 0.0000 0.0000
Rb: 0.3330 0.6670 0.0000
Rb: 0.6670 0.3330 0.0000
Er: 0.1666 0.8334 0.5000
Er: 0.8334 0.1666 0.5000
Tm: 0.5000 0.5000 0.5000
Te: 0.1018 0.4342 0.3026
Te: 0.2335 0.2335 0.6975
Te: 0.4342 0.1018 0.3026
Te: 0.5658 0.8982 0.6974
Te: 0.7665 0.7665 0.3025
Te: 0.8982 0.5658 0.6974

Top 6 peaks for 2θ = 10–90°, in order of rising 2θ:
2theta	d/Å	I (rel.)
10.4	8.544	32
26.8	3.326	100
36.3	2.473	33
40.1	2.246	37
48.9	1.861	19
65.1	1.433	16

Please write out number 2 again, unchanged.
Starting from a DFT-relaxed cell (GGA-PBE, Alexandria), the X-ray diffraction stick pattern of NaPm2WN4 was computed for Cu Kα (weighted mean of Kα1 and Kα2).
Kinematic intensities with the Lorentz-polarization factor, no thermal factor.

Structural model:
abc: 5.4953 5.4953 9.4962
angles: 90.00 90.00 90.00
Fractional positions:
Na: 0.0000 0.0000 0.0000
Na: 0.5000 0.5000 0.5000
Pm: 0.0000 0.5000 0.2500
Pm: 0.0000 0.5000 0.7500
Pm: 0.5000 0.0000 0.2500
Pm: 0.5000 0.0000 0.7500
W: 0.0000 0.0000 0.5000
W: 0.5000 0.5000 0.0000
N: 0.2035 0.2035 0.3872
N: 0.2035 0.7965 0.6128
N: 0.2965 0.2965 0.8872
N: 0.2965 0.7035 0.1128
N: 0.7035 0.2965 0.1128
N: 0.7035 0.7035 0.8872
N: 0.7965 0.2035 0.6128
N: 0.7965 0.7965 0.3872

Top 6 peaks for 2θ = 10–90°, in order of rising 2θ:
2theta	d/Å	I (rel.)
18.7	4.756	37
29.7	3.007	100
32.6	2.747	39
46.8	1.942	22
50.8	1.797	28
56.4	1.632	32